[1]
Theoretical PXRD pattern
Compound: Li2CuNiO4
Radiation: Cu Kα (weighted mean of Kα1 and Kα2)
Structure: a DFT-relaxed cell (GGA+U, the Materials Project)

```
data_Li2CuNiO4
_cell_length_a 8.1967
_cell_length_b 7.8859
_cell_length_c 6.0202
_cell_angle_alpha 90.00
_cell_angle_beta 131.06
_cell_angle_gamma 90.00
_space_group_name_H-M_alt 'C 1 2/c 1'
_space_group_IT_number 15
loop_
_space_group_symop_operation_xyz
'x,y,z'
'-x,-y,-z'
'-x,y,-z+1/2'
'x,-y,z+1/2'
'x+1/2,y+1/2,z'
'-x+1/2,-y+1/2,-z'
'-x+1/2,y+1/2,-z+1/2'
'x+1/2,-y+1/2,z+1/2'
loop_
_atom_site_label
_atom_site_type_symbol
_atom_site_fract_x
_atom_site_fract_y
_atom_site_fract_z
Li1 Li 0.0000 0.0000 0.0000
Li2 Li 0.2500 0.2500 0.0000
Cu1 Cu 0.2500 0.2500 0.5000
Ni1 Ni 0.0000 0.5000 0.0000
O1 O 0.0504 0.2606 0.5540
O2 O 0.2239 0.4836 0.4329
```

The 10 most intense peaks (10 to 90 degrees two-theta), by angle:
2theta	I (rel.)	(hkl)
18.24	100.0	1 1 0
18.60	89.6	1 1 -1
33.24	36.7	1 1 1
36.96	27.5	2 2 0
37.72	24.0	2 2 -2
39.71	52.7	0 0 2
44.22	42.4	4 0 -2
46.04	37.9	0 4 0
62.39	23.0	0 4 2
65.74	21.2	4 4 -2

---

[2]
Theoretical PXRD pattern
Compound: Li3CuNi4O8
Radiation: Cu Kα (weighted mean of Kα1 and Kα2)
Structure: a DFT-relaxed cell (GGA+U, the Materials Project)

```
data_Li3CuNi4O8
_cell_length_a 10.0941
_cell_length_b 5.8506
_cell_length_c 5.8776
_cell_angle_alpha 90.00
_cell_angle_beta 125.40
_cell_angle_gamma 90.00
_space_group_name_H-M_alt 'C 1 2/m 1'
_space_group_IT_number 12
loop_
_space_group_symop_operation_xyz
'x,y,z'
'-x,-y,-z'
'-x,y,-z'
'x,-y,z'
'x+1/2,y+1/2,z'
'-x+1/2,-y+1/2,-z'
'-x+1/2,y+1/2,-z'
'x+1/2,-y+1/2,z'
loop_
_atom_site_label
_atom_site_type_symbol
_atom_site_fract_x
_atom_site_fract_y
_atom_site_fract_z
Li1 Li 0.0000 0.0000 0.0000
Li2 Li 0.2500 0.2500 0.0000
Cu1 Cu 0.0000 0.5000 0.5000
Ni1 Ni 0.0000 0.0000 0.5000
Ni2 Ni 0.0000 0.5000 0.0000
Ni3 Ni 0.2500 0.2500 0.5000
O1 O 0.0139 0.2570 0.2715
O2 O 0.2457 0.5000 0.7126
O3 O 0.2505 0.0000 0.7551
```

The 10 most intense peaks (10 to 90 degrees two-theta), by angle:
2theta	I (rel.)	(hkl)
18.54	100.0	0 0 1
36.00	25.2	2 2 -1
37.54	14.9	0 0 2
37.72	42.6	4 0 -2
43.66	85.8	2 2 -2
44.02	41.6	4 0 0
63.29	11.8	4 0 -4
63.63	35.3	0 4 0
63.83	23.6	6 2 -2
80.59	11.0	4 4 0

---

[3]
Theoretical PXRD pattern
Compound: Li3Cu4NiO8
Radiation: Cu Kα (weighted mean of Kα1 and Kα2)
Structure: a DFT-relaxed cell (GGA+U, the Materials Project)

```
data_Li3Cu4NiO8
_cell_length_a 11.0164
_cell_length_b 5.6031
_cell_length_c 5.5918
_cell_angle_alpha 90.00
_cell_angle_beta 118.62
_cell_angle_gamma 90.00
_space_group_name_H-M_alt 'C 1 2/m 1'
_space_group_IT_number 12
loop_
_space_group_symop_operation_xyz
'x,y,z'
'-x,-y,-z'
'-x,y,-z'
'x,-y,z'
'x+1/2,y+1/2,z'
'-x+1/2,-y+1/2,-z'
'-x+1/2,y+1/2,-z'
'x+1/2,-y+1/2,z'
loop_
_atom_site_label
_atom_site_type_symbol
_atom_site_fract_x
_atom_site_fract_y
_atom_site_fract_z
Li1 Li 0.0000 0.0000 0.0000
Li2 Li 0.2500 0.2500 0.5000
Cu1 Cu 0.0000 0.0000 0.5000
Cu2 Cu 0.0000 0.5000 0.0000
Cu3 Cu 0.2500 0.2500 0.0000
Ni1 Ni 0.0000 0.5000 0.5000
O1 O 0.0326 0.2633 0.2699
O2 O 0.2010 0.0000 0.7401
O3 O 0.2192 0.5000 0.7558
```

The 10 most intense peaks (10 to 90 degrees two-theta), by angle:
2theta	I (rel.)	(hkl)
18.32	29.7	2 0 0
18.59	98.6	2 0 -1
36.94	30.3	0 2 1
37.09	49.0	2 2 0
37.19	80.1	4 0 0
37.70	28.6	4 0 -2
45.87	100.0	2 2 -2
59.71	38.6	2 2 2
61.22	27.4	6 2 -2
66.98	27.7	4 0 -4

---

[4]
Theoretical PXRD pattern
Compound: Li2CuNiO4
Radiation: Cu Kα (weighted mean of Kα1 and Kα2)
Structure: a DFT-relaxed cell (GGA+U, the Materials Project)

```
data_Li2CuNiO4
_cell_length_a 4.0934
_cell_length_b 4.0934
_cell_length_c 8.3626
_cell_angle_alpha 90.00
_cell_angle_beta 90.00
_cell_angle_gamma 90.00
_space_group_name_H-M_alt 'I -4 m 2'
_space_group_IT_number 119
_space_group_name_Hall 'I -4 -2'
loop_
_atom_site_label
_atom_site_type_symbol
_atom_site_fract_x
_atom_site_fract_y
_atom_site_fract_z
Li1 Li 0.0000 0.0000 0.0000
Li2 Li 0.0000 0.5000 0.2500
Cu1 Cu 0.0000 0.0000 0.5000
Ni1 Ni 0.0000 0.5000 0.7500
O1 O 0.0000 0.0000 0.2738
O2 O 0.0000 0.5000 0.5148
```

The 10 most intense peaks (10 to 90 degrees two-theta), by angle:
2theta	I (rel.)	(hkl)
24.21	100.0	1 0 1
37.80	23.1	1 1 2
39.10	16.2	1 0 3
43.28	23.3	0 0 4
44.25	46.7	2 0 0
51.07	24.0	2 1 1
59.73	10.1	1 0 5
63.62	25.2	2 0 4
64.37	12.9	2 2 0
80.76	11.5	2 2 4

---

[5]
Theoretical PXRD pattern
Compound: Li5Cu2Ni5O12
Radiation: Cu Kα (weighted mean of Kα1 and Kα2)
Structure: a DFT-relaxed cell (GGA+U, the Materials Project)

```
data_Li5Cu2Ni5O12
_cell_length_a 5.2425
_cell_length_b 8.6194
_cell_length_c 9.6341
_cell_angle_alpha 90.00
_cell_angle_beta 97.38
_cell_angle_gamma 90.00
_space_group_name_H-M_alt 'C 1 2 1'
_space_group_IT_number 5
loop_
_space_group_symop_operation_xyz
'x,y,z'
'-x,y,-z'
'x+1/2,y+1/2,z'
'-x+1/2,y+1/2,-z'
loop_
_atom_site_label
_atom_site_type_symbol
_atom_site_fract_x
_atom_site_fract_y
_atom_site_fract_z
Li1 Li 0.0000 0.0000 0.0000
Li2 Li 0.2449 0.5120 0.2440
Li3 Li 0.2491 0.8300 0.2458
Cu1 Cu 0.0000 0.1761 0.5000
Cu2 Cu 0.0000 0.6594 0.0000
Ni1 Ni 0.0000 0.3297 0.0000
Ni2 Ni 0.0000 0.5115 0.5000
Ni3 Ni 0.0000 0.8383 0.5000
Ni4 Ni 0.2502 0.1714 0.2472
O1 O 0.0720 0.1763 0.8681
O2 O 0.0770 0.6737 0.3589
O3 O 0.1022 0.4990 0.8868
O4 O 0.1213 0.8129 0.8858
O5 O 0.1219 0.0233 0.3841
O6 O 0.1264 0.3301 0.3892
```

The 10 most intense peaks (10 to 90 degrees two-theta), by angle:
2theta	I (rel.)	(hkl)
18.57	44.5	0 0 2
20.61	34.2	0 2 0
21.07	21.7	1 1 -1
22.95	42.4	1 1 1
37.19	18.1	2 0 -2
37.55	34.4	1 3 1
41.63	61.9	2 0 2
44.50	100.0	1 3 -3
62.25	30.1	3 3 -1
62.87	33.4	1 3 5

---

[6]
Theoretical PXRD pattern
Compound: Li5Cu5Ni2O12
Radiation: Cu Kα (weighted mean of Kα1 and Kα2)
Structure: a DFT-relaxed cell (GGA+U, the Materials Project)

```
data_Li5Cu5Ni2O12
_cell_length_a 5.4040
_cell_length_b 8.4314
_cell_length_c 9.4957
_cell_angle_alpha 90.00
_cell_angle_beta 93.38
_cell_angle_gamma 90.00
_space_group_name_H-M_alt 'C 1 2 1'
_space_group_IT_number 5
loop_
_space_group_symop_operation_xyz
'x,y,z'
'-x,y,-z'
'x+1/2,y+1/2,z'
'-x+1/2,y+1/2,-z'
loop_
_atom_site_label
_atom_site_type_symbol
_atom_site_fract_x
_atom_site_fract_y
_atom_site_fract_z
Li1 Li 0.0000 0.0000 0.0000
Li2 Li 0.2421 0.8283 0.2442
Li3 Li 0.2473 0.0059 0.7579
Cu1 Cu 0.0000 0.3345 0.0000
Cu2 Cu 0.0000 0.4993 0.5000
Cu3 Cu 0.0000 0.8380 0.5000
Cu4 Cu 0.2448 0.1655 0.2479
Ni1 Ni 0.0000 0.1692 0.5000
Ni2 Ni 0.0000 0.6705 0.0000
O1 O 0.0935 0.0141 0.3709
O2 O 0.0947 0.3257 0.3732
O3 O 0.1034 0.5092 0.8774
O4 O 0.1060 0.8180 0.8682
O5 O 0.1729 0.6687 0.4044
O6 O 0.1762 0.1741 0.9027
```

The 10 most intense peaks (10 to 90 degrees two-theta), by angle:
2theta	I (rel.)	(hkl)
18.72	48.3	0 0 2
21.07	27.5	0 2 0
22.11	49.9	1 1 1
37.37	19.4	2 0 -2
37.56	39.5	1 3 1
37.97	19.7	0 0 4
39.40	73.3	2 0 2
45.75	100.0	1 3 -3
61.52	33.7	3 3 -1
62.34	30.9	1 3 5